The following is a simulated powder diffraction line list of Pu3Tc2Ge3. It was derived from the PBE geometry in Alexandria, using Cu Ka.
Peak positions follow from Bragg's law for the DFT cell and can differ from measured ones.

abc: 5.665 5.665 14.176
angles: 90.00 90.00 135.43
Fractional coordinates of all 16 atoms:
1 Pu 0.061 0.939 0.606
2 Pu 0.061 0.939 0.894
3 Pu 0.325 0.675 0.750
4 Pu 0.675 0.325 0.250
5 Pu 0.939 0.061 0.106
6 Pu 0.939 0.061 0.394
7 Tc 0.208 0.792 0.125
8 Tc 0.208 0.792 0.375
9 Tc 0.792 0.208 0.625
10 Tc 0.792 0.208 0.875
11 Ge 0.353 0.647 0.533
12 Ge 0.353 0.647 0.967
13 Ge 0.390 0.610 0.250
14 Ge 0.610 0.390 0.750
15 Ge 0.647 0.353 0.033
16 Ge 0.647 0.353 0.467

Principal peaks in the range 10 to 90 degrees two-theta, by intensity:
2θ 33.88, I 100
2θ 38.27, I 64
2θ 34.81, I 49
2θ 42.06, I 40
2θ 55.70, I 26
2θ 33.04, I 25